Computed powder XRD pattern of Mn2MoRh2 for CuKα, from a DFT-relaxed cell (GGA-PBE, Alexandria).

Top 10 peaks for 5° ≤ 2θ ≤ 70°, by intensity:
Position (°2θ)  I (rel.)
44.2  100.0
40.3  74.0
42.3  66.1
35.9  29.6
53.3  26.3
65.9  20.9
28.2  19.5
64.4  18.4
46.2  13.5
38.0  9.1

Structure:
a = 7.085 Å, b = 7.085 Å, c = 2.683 Å
α = 90.00°, β = 90.00°, γ = 90.00°
Atoms (fractional coordinates):
Mn 0.116 0.384 0.000
Mn 0.384 0.884 0.000
Mn 0.616 0.116 0.000
Mn 0.884 0.616 0.000
Mo 0.000 0.000 0.000
Mo 0.500 0.500 0.000
Rh 0.178 0.678 0.500
Rh 0.322 0.178 0.500
Rh 0.678 0.822 0.500
Rh 0.822 0.322 0.500


Computed powder XRD pattern of LaPr3Pt3 for CuKα, from a DFT-relaxed cell (GGA-PBE, Alexandria).

Top 10 peaks for 5° ≤ 2θ ≤ 70°, by intensity:
Position (°2θ)  I (rel.)
42.9  100.0
29.9  88.6
30.0  44.4
53.2  35.3
16.6  23.3
62.2  10.8
34.5  7.9
10.5  7.1
40.7  6.7
18.2  6.1

Structure:
a = 11.946 Å, b = 11.946 Å, c = 5.949 Å
α = 90.00°, β = 90.00°, γ = 90.00°
Atoms (fractional coordinates):
La 0.127 0.127 0.000
La 0.373 0.627 0.500
La 0.627 0.373 0.500
La 0.873 0.873 0.000
Pr 0.117 0.629 0.000
Pr 0.129 0.383 0.500
Pr 0.129 0.871 0.500
Pr 0.371 0.371 0.000
Pr 0.371 0.883 0.000
Pr 0.383 0.129 0.500
Pr 0.617 0.871 0.500
Pr 0.629 0.117 0.000
Pr 0.629 0.629 0.000
Pr 0.871 0.129 0.500
Pr 0.871 0.617 0.500
Pr 0.883 0.371 0.000
Pt 0.119 0.881 0.000
Pt 0.125 0.628 0.500
Pt 0.128 0.375 0.000
Pt 0.372 0.875 0.500
Pt 0.375 0.128 0.000
Pt 0.381 0.381 0.500
Pt 0.619 0.619 0.500
Pt 0.625 0.872 0.000
Pt 0.628 0.125 0.500
Pt 0.872 0.625 0.000
Pt 0.875 0.372 0.500
Pt 0.881 0.119 0.000